This entry pairs a crystal structure of Zr3Te2 with its theoretical PXRD pattern. Radiation: Cu Kα, 1.54184 Å. Structure: a GGA-PBE-relaxed structure.
Kinematic intensities with the Lorentz-polarization factor, no thermal factor.

```
data_Zr3Te2
_chemical_formula_sum 'Zr9 Te6'
_cell_length_a 6.1055
_cell_length_b 6.1055
_cell_length_c 12.2256
_cell_angle_alpha 90.00
_cell_angle_beta 90.00
_cell_angle_gamma 120.00
_symmetry_space_group_name_H-M 'R 3 2'
_symmetry_Int_Tables_number 155
_symmetry_space_group_name_Hall 'R 3 2"'
loop_
_atom_site_label
_atom_site_type_symbol
_atom_site_fract_x
_atom_site_fract_y
_atom_site_fract_z
_atom_site_occupancy
Zr1 Zr 0.0000 0.6455 0.0000 1
Te1 Te 0.0000 0.0000 0.1592 1
```

Peak list (6 most intense, 2θ = 10–80°, in order of rising 2θ)
hkl 1 0 1, 2θ 18.3, rel. 19
hkl 1 1 0, 2θ 29.3, rel. 32
hkl 1 1 3, 2θ 36.8, rel. 100
hkl 3 0 0, 2θ 51.9, rel. 24
hkl 2 2 3, 2θ 65.3, rel. 17
hkl 3 0 6, 2θ 70.7, rel. 18

---

This entry pairs a crystal structure of Th with its theoretical PXRD pattern. Radiation: Cu Kα, 1.54184 Å. Structure: a GGA-PBE-relaxed structure.
Kinematic intensities with the Lorentz-polarization factor, no thermal factor.

```
data_Th
_chemical_formula_sum 'Th2'
_cell_length_a 4.0111
_cell_length_b 4.0111
_cell_length_c 4.0111
_cell_angle_alpha 90.00
_cell_angle_beta 90.00
_cell_angle_gamma 90.00
_symmetry_space_group_name_H-M 'I m -3 m'
_symmetry_Int_Tables_number 229
_symmetry_space_group_name_Hall '-I 4 2 3'
loop_
_atom_site_label
_atom_site_type_symbol
_atom_site_fract_x
_atom_site_fract_y
_atom_site_fract_z
_atom_site_occupancy
Th1 Th 0.0000 0.0000 0.0000 1
```

Peak list (5 most intense, 2θ = 10–80°, in order of rising 2θ)
hkl 1 1 0, 2θ 31.5, rel. 100
hkl 2 0 0, 2θ 45.2, rel. 19
hkl 2 1 1, 2θ 56.2, rel. 41
hkl 2 2 0, 2θ 65.9, rel. 13
hkl 3 1 0, 2θ 74.9, rel. 18

---

This entry pairs a crystal structure of Th with its theoretical PXRD pattern. Radiation: Cu Kα, 1.54184 Å. Structure: a GGA-PBE-relaxed structure.
Kinematic intensities with the Lorentz-polarization factor, no thermal factor.

```
data_Th
_chemical_formula_sum 'Th4'
_cell_length_a 5.0412
_cell_length_b 5.0412
_cell_length_c 5.0412
_cell_angle_alpha 90.00
_cell_angle_beta 90.00
_cell_angle_gamma 90.00
_symmetry_space_group_name_H-M 'F m -3 m'
_symmetry_Int_Tables_number 225
_symmetry_space_group_name_Hall '-F 4 2 3'
loop_
_atom_site_label
_atom_site_type_symbol
_atom_site_fract_x
_atom_site_fract_y
_atom_site_fract_z
_atom_site_occupancy
Th1 Th 0.0000 0.0000 0.0000 1
```

Peak list (6 most intense, 2θ = 10–80°, in order of rising 2θ)
hkl 1 1 1, 2θ 30.7, rel. 100
hkl 2 0 0, 2θ 35.6, rel. 51
hkl 2 2 0, 2θ 51.3, rel. 37
hkl 3 1 1, 2θ 61.0, rel. 45
hkl 2 2 2, 2θ 64.0, rel. 13
hkl 4 0 0, 2θ 75.4, rel. 6

---

This entry pairs a crystal structure of ThTi3 with its theoretical PXRD pattern. Radiation: Cu Kα, 1.54184 Å. Structure: a GGA-PBE-relaxed structure.
Kinematic intensities with the Lorentz-polarization factor, no thermal factor.

```
data_ThTi3
_chemical_formula_sum 'Th4 Ti12'
_cell_length_a 6.8477
_cell_length_b 6.8477
_cell_length_c 6.8477
_cell_angle_alpha 90.00
_cell_angle_beta 90.00
_cell_angle_gamma 90.00
_symmetry_space_group_name_H-M 'F m -3 m'
_symmetry_Int_Tables_number 225
_symmetry_space_group_name_Hall '-F 4 2 3'
loop_
_atom_site_label
_atom_site_type_symbol
_atom_site_fract_x
_atom_site_fract_y
_atom_site_fract_z
_atom_site_occupancy
Th1 Th 0.0000 0.0000 0.0000 1
Ti1 Ti 0.0000 0.0000 0.5000 1
Ti2 Ti 0.2500 0.2500 0.2500 1
```

Peak list (6 most intense, 2θ = 10–80°, in order of rising 2θ)
hkl 1 1 1, 2θ 22.5, rel. 53
hkl 2 0 0, 2θ 26.0, rel. 28
hkl 2 2 0, 2θ 37.1, rel. 100
hkl 3 1 1, 2θ 43.8, rel. 30
hkl 4 0 0, 2θ 53.5, rel. 17
hkl 4 2 2, 2θ 66.9, rel. 34

---

This entry pairs a crystal structure of Th3Ti with its theoretical PXRD pattern. Radiation: Cu Kα, 1.54184 Å. Structure: a GGA-PBE-relaxed structure.
Kinematic intensities with the Lorentz-polarization factor, no thermal factor.

```
data_Th3Ti
_chemical_formula_sum 'Th6 Ti2'
_cell_length_a 6.8874
_cell_length_b 6.8874
_cell_length_c 5.6444
_cell_angle_alpha 90.00
_cell_angle_beta 90.00
_cell_angle_gamma 120.00
_symmetry_space_group_name_H-M 'P 63/m m c'
_symmetry_Int_Tables_number 194
_symmetry_space_group_name_Hall '-P 6c 2c'
loop_
_atom_site_label
_atom_site_type_symbol
_atom_site_fract_x
_atom_site_fract_y
_atom_site_fract_z
_atom_site_occupancy
Th1 Th 0.1754 0.3509 0.2500 1
Ti1 Ti 0.3333 0.6667 0.7500 1
```

Peak list (6 most intense, 2θ = 10–80°, in order of rising 2θ)
hkl 1 0 1, 2θ 21.7, rel. 25
hkl 2 0 0, 2θ 30.0, rel. 23
hkl 0 0 2, 2θ 31.7, rel. 27
hkl 2 0 1, 2θ 34.0, rel. 100
hkl 2 0 3, 2θ 58.0, rel. 22
hkl 2 2 2, 2θ 63.3, rel. 22

---

This entry pairs a crystal structure of ThTi3 with its theoretical PXRD pattern. Radiation: Cu Kα, 1.54184 Å. Structure: a GGA-PBE-relaxed structure.
Kinematic intensities with the Lorentz-polarization factor, no thermal factor.

```
data_ThTi3
_chemical_formula_sum 'Th2 Ti6'
_cell_length_a 4.7250
_cell_length_b 4.7250
_cell_length_c 7.2517
_cell_angle_alpha 90.00
_cell_angle_beta 90.00
_cell_angle_gamma 90.00
_symmetry_space_group_name_H-M 'I 4/m m m'
_symmetry_Int_Tables_number 139
_symmetry_space_group_name_Hall '-I 4 2'
loop_
_atom_site_label
_atom_site_type_symbol
_atom_site_fract_x
_atom_site_fract_y
_atom_site_fract_z
_atom_site_occupancy
Th1 Th 0.0000 0.0000 0.0000 1
Ti1 Ti 0.0000 0.0000 0.5000 1
Ti2 Ti 0.0000 0.5000 0.2500 1
```

Peak list (6 most intense, 2θ = 10–80°, in order of rising 2θ)
hkl 1 0 1, 2θ 22.5, rel. 77
hkl 1 1 0, 2θ 26.7, rel. 26
hkl 1 1 2, 2θ 36.6, rel. 100
hkl 2 0 0, 2θ 38.1, rel. 45
hkl 2 1 1, 2θ 44.7, rel. 27
hkl 3 1 2, 2θ 67.8, rel. 32

---

This entry pairs a crystal structure of ThTl3 with its theoretical PXRD pattern. Radiation: Cu Kα, 1.54184 Å. Structure: a GGA-PBE-relaxed structure.
Kinematic intensities with the Lorentz-polarization factor, no thermal factor.

```
data_ThTl3
_chemical_formula_sum 'Th1 Tl3'
_cell_length_a 4.8418
_cell_length_b 4.8418
_cell_length_c 4.8418
_cell_angle_alpha 90.00
_cell_angle_beta 90.00
_cell_angle_gamma 90.00
_symmetry_space_group_name_H-M 'P m -3 m'
_symmetry_Int_Tables_number 221
_symmetry_space_group_name_Hall '-P 4 2 3'
loop_
_atom_site_label
_atom_site_type_symbol
_atom_site_fract_x
_atom_site_fract_y
_atom_site_fract_z
_atom_site_occupancy
Th1 Th 0.0000 0.0000 0.0000 1
Tl1 Tl 0.0000 0.5000 0.5000 1
```

Peak list (6 most intense, 2θ = 10–80°, in order of rising 2θ)
hkl 1 1 1, 2θ 32.0, rel. 100
hkl 2 0 0, 2θ 37.1, rel. 51
hkl 2 2 0, 2θ 53.5, rel. 36
hkl 3 1 1, 2θ 63.8, rel. 43
hkl 2 2 2, 2θ 66.9, rel. 12
hkl 4 0 0, 2θ 79.1, rel. 6

---

This entry pairs a crystal structure of Th3Tl5 with its theoretical PXRD pattern. Radiation: Cu Kα, 1.54184 Å. Structure: a GGA-PBE-relaxed structure.
Kinematic intensities with the Lorentz-polarization factor, no thermal factor.

```
data_Th3Tl5
_chemical_formula_sum 'Th12 Tl20'
_cell_length_a 10.4919
_cell_length_b 8.4525
_cell_length_c 10.4656
_cell_angle_alpha 90.00
_cell_angle_beta 90.00
_cell_angle_gamma 90.00
_symmetry_space_group_name_H-M 'C m c m'
_symmetry_Int_Tables_number 63
_symmetry_space_group_name_Hall '-C 2c 2'
loop_
_atom_site_label
_atom_site_type_symbol
_atom_site_fract_x
_atom_site_fract_y
_atom_site_fract_z
_atom_site_occupancy
Th1 Th 0.0000 0.1144 0.2500 1
Th2 Th 0.2065 0.5000 0.0000 1
Tl1 Tl 0.0000 0.2006 0.5453 1
Tl2 Tl 0.0000 0.4948 0.7500 1
Tl3 Tl 0.2223 0.2215 0.7500 1
```

Peak list (6 most intense, 2θ = 10–80°, in order of rising 2θ)
hkl 2 2 2, 2θ 32.1, rel. 100
hkl 3 1 2, 2θ 32.6, rel. 16
hkl 1 3 0, 2θ 32.9, rel. 20
hkl 0 0 4, 2θ 34.2, rel. 53
hkl 3 1 3, 2θ 38.0, rel. 16
hkl 3 5 2, 2θ 63.7, rel. 18

---

This entry pairs a crystal structure of ThTl with its theoretical PXRD pattern. Radiation: Cu Kα, 1.54184 Å. Structure: a GGA-PBE-relaxed structure.
Kinematic intensities with the Lorentz-polarization factor, no thermal factor.

```
data_ThTl
_chemical_formula_sum 'Th12 Tl12'
_cell_length_a 10.9582
_cell_length_b 10.0237
_cell_length_c 6.5836
_cell_angle_alpha 90.00
_cell_angle_beta 90.00
_cell_angle_gamma 90.00
_symmetry_space_group_name_H-M 'P b c m'
_symmetry_Int_Tables_number 57
loop_
_symmetry_equiv_pos_as_xyz
'x,y,z'
'-x,-y,-z'
'-x,-y,z+1/2'
'x,y,-z+1/2'
'x,-y+1/2,-z'
'-x,y+1/2,z'
'-x,y+1/2,-z+1/2'
'x,-y+1/2,z+1/2'
loop_
_atom_site_label
_atom_site_type_symbol
_atom_site_fract_x
_atom_site_fract_y
_atom_site_fract_z
_atom_site_occupancy
Th1 Th 0.1093 0.2500 0.0000 1
Th2 Th 0.1850 0.6307 0.2500 1
Th3 Th 0.3852 0.0355 0.2500 1
Tl1 Tl 0.0933 0.5506 0.7500 1
Tl2 Tl 0.3514 0.1277 0.7500 1
Tl3 Tl 0.4224 0.7500 0.0000 1
```

Peak list (6 most intense, 2θ = 10–80°, in order of rising 2θ)
hkl 3 1 1, 2θ 29.3, rel. 33
hkl 1 3 1, 2θ 31.1, rel. 44
hkl 2 3 0, 2θ 31.4, rel. 83
hkl 0 2 2, 2θ 32.5, rel. 54
hkl 4 0 0, 2θ 32.7, rel. 30
hkl 2 1 2, 2θ 33.0, rel. 100

---

This entry pairs a crystal structure of Th5Tl3 with its theoretical PXRD pattern. Radiation: Cu Kα, 1.54184 Å. Structure: a GGA-PBE-relaxed structure.
Kinematic intensities with the Lorentz-polarization factor, no thermal factor.

```
data_Th5Tl3
_chemical_formula_sum 'Th10 Tl6'
_cell_length_a 9.5513
_cell_length_b 9.5513
_cell_length_c 6.3833
_cell_angle_alpha 90.00
_cell_angle_beta 90.00
_cell_angle_gamma 120.00
_symmetry_space_group_name_H-M 'P 63/m c m'
_symmetry_Int_Tables_number 193
_symmetry_space_group_name_Hall '-P 6c 2'
loop_
_atom_site_label
_atom_site_type_symbol
_atom_site_fract_x
_atom_site_fract_y
_atom_site_fract_z
_atom_site_occupancy
Th1 Th 0.0000 0.2422 0.2500 1
Th2 Th 0.3333 0.6667 0.0000 1
Tl1 Tl 0.0000 0.3898 0.7500 1
```

Peak list (6 most intense, 2θ = 10–80°, in order of rising 2θ)
hkl 2 1 0, 2θ 28.6, rel. 31
hkl 2 1 1, 2θ 31.9, rel. 100
hkl 3 0 0, 2θ 32.5, rel. 47
hkl 1 1 2, 2θ 33.8, rel. 72
hkl 2 2 2, 2θ 47.6, rel. 21
hkl 2 1 3, 2θ 52.0, rel. 26

---

This entry pairs a crystal structure of Th2Tl with its theoretical PXRD pattern. Radiation: Cu Kα, 1.54184 Å. Structure: a GGA-PBE-relaxed structure.
Kinematic intensities with the Lorentz-polarization factor, no thermal factor.

```
data_Th2Tl
_chemical_formula_sum 'Th8 Tl4'
_cell_length_a 7.9176
_cell_length_b 7.9176
_cell_length_c 6.0674
_cell_angle_alpha 90.00
_cell_angle_beta 90.00
_cell_angle_gamma 90.00
_symmetry_space_group_name_H-M 'I 4/m c m'
_symmetry_Int_Tables_number 140
_symmetry_space_group_name_Hall '-I 4 2c'
loop_
_atom_site_label
_atom_site_type_symbol
_atom_site_fract_x
_atom_site_fract_y
_atom_site_fract_z
_atom_site_occupancy
Th1 Th 0.1531 0.3469 0.0000 1
Tl1 Tl 0.0000 0.0000 0.2500 1
```

Peak list (6 most intense, 2θ = 10–80°, in order of rising 2θ)
hkl 2 1 1, 2θ 29.2, rel. 100
hkl 1 1 2, 2θ 33.6, rel. 35
hkl 3 1 0, 2θ 35.9, rel. 50
hkl 2 0 2, 2θ 37.3, rel. 28
hkl 4 0 2, 2θ 55.4, rel. 21
hkl 3 3 2, 2θ 58.0, rel. 24

---

This entry pairs a crystal structure of TmTh3 with its theoretical PXRD pattern. Radiation: Cu Kα, 1.54184 Å. Structure: a GGA-PBE-relaxed structure.
Kinematic intensities with the Lorentz-polarization factor, no thermal factor.

```
data_TmTh3
_chemical_formula_sum 'Tm1 Th3'
_cell_length_a 5.0371
_cell_length_b 5.0371
_cell_length_c 5.0371
_cell_angle_alpha 90.00
_cell_angle_beta 90.00
_cell_angle_gamma 90.00
_symmetry_space_group_name_H-M 'P m -3 m'
_symmetry_Int_Tables_number 221
_symmetry_space_group_name_Hall '-P 4 2 3'
loop_
_atom_site_label
_atom_site_type_symbol
_atom_site_fract_x
_atom_site_fract_y
_atom_site_fract_z
_atom_site_occupancy
Tm1 Tm 0.0000 0.0000 0.0000 1
Th1 Th 0.0000 0.5000 0.5000 1
```

Peak list (6 most intense, 2θ = 10–80°, in order of rising 2θ)
hkl 1 1 1, 2θ 30.7, rel. 100
hkl 2 0 0, 2θ 35.6, rel. 51
hkl 2 2 0, 2θ 51.3, rel. 37
hkl 3 1 1, 2θ 61.0, rel. 44
hkl 2 2 2, 2θ 64.0, rel. 13
hkl 4 0 0, 2θ 75.5, rel. 6